Calculated XRD peak list of NaCrF6 for Cu Kα X-rays, from the PBE+U geometry in Alexandria.

Largest 6 diffraction maxima, in order of rising 2θ, 10 to 80 degrees two-theta:
index	Position (°2θ)	intensity
2 0 0	18.43	31
0 1 1	18.70	22
1 1 1	20.87	100
1 0 2	24.21	44
2 1 1	26.37	73
4 2 0	48.78	23

Atomic structure:
a b c (Å): 9.6302 5.9121 7.9550
angles (deg): 90.00 90.00 90.00
Space group Pnma (No. 62)
Asymmetric unit:
Na 0.0047 0.2500 0.1696 x4
Cr 0.2311 0.2500 0.6153 x4
F 0.1106 0.0319 0.6757 x8
F 0.1420 0.5362 0.0480 x8
F 0.1611 0.2500 0.4071 x4
F 0.1919 0.7500 0.3146 x4